[1]
For Ta3Mn8Al, the PBE geometry in the Materials Project gives the theoretical powder X-ray diffraction pattern in this record (Cu Ka).

Crystal structure
Cell lengths 4.7716, 4.7716, 7.8748 Å; angles 90.00, 90.00, 120.00 degrees
Space group P3m1 (No. 156)
Inequivalent atoms, fractional coordinates:
Ta 0.0000 0.0000 0.0000 (multiplicity 1)
Ta 0.0000 0.0000 0.3767 (multiplicity 1)
Ta 0.6667 0.3333 0.5167 (multiplicity 1)
Mn 0.1617 0.3234 0.6932 (multiplicity 3)
Mn 0.3333 0.6667 0.4355 (multiplicity 1)
Mn 0.3333 0.6667 0.9398 (multiplicity 1)
Mn 0.5068 0.0136 0.1906 (multiplicity 3)
Al 0.6667 0.3333 0.8786 (multiplicity 1)

Main lines, in order of rising 2θ (2θ from 10° to 90°):
| Position (°2θ) | intensity |
| --- | --- |
| 24.3 | 31 |
| 37.7 | 61 |
| 40.7 | 100 |
| 44.4 | 90 |
| 45.4 | 57 |
| 70.1 | 36 |


[2]
For TbMnAl, the PBE geometry in the Materials Project gives the theoretical powder X-ray diffraction pattern in this record (Cu Ka).

Crystal structure
Cell lengths 5.494, 5.584, 7.600 Å; angles 90.00, 90.00, 90.00 degrees
Space group Imma (No. 74)
Inequivalent atoms, fractional coordinates:
Tb 0.000 0.250 0.119 (multiplicity 4)
Mn 0.250 0.250 0.750 (multiplicity 4)
Al 0.000 0.000 0.500 (multiplicity 4)

Main lines, in order of rising 2θ (2θ from 10° to 90°):
| Position (°2θ) | intensity |
| --- | --- |
| 19.9 | 53 |
| 32.1 | 38 |
| 32.8 | 100 |
| 38.0 | 55 |
| 38.4 | 70 |
| 39.0 | 41 |


[3]
For MnAlTc, the PBE geometry in the Materials Project gives the theoretical powder X-ray diffraction pattern in this record (Cu Ka).

Crystal structure
Cell lengths 5.824, 5.824, 5.824 Å; angles 90.00, 90.00, 90.00 degrees
Space group F-43m (No. 216)
Inequivalent atoms, fractional coordinates:
Mn 0.000 0.000 0.000 (multiplicity 4)
Al 0.250 0.250 0.250 (multiplicity 4)
Tc 0.000 0.000 0.500 (multiplicity 4)

Main lines, in order of rising 2θ (2θ from 10° to 90°):
| Position (°2θ) | intensity |
| --- | --- |
| 26.5 | 22 |
| 30.7 | 69 |
| 44.0 | 100 |
| 54.6 | 17 |
| 72.6 | 21 |
| 80.8 | 31 |


[4]
For MnAl2Tc, the PBE geometry in the Materials Project gives the theoretical powder X-ray diffraction pattern in this record (Cu Ka).

Crystal structure
Cell lengths 6.072, 6.072, 6.072 Å; angles 90.00, 90.00, 90.00 degrees
Space group Fm-3m (No. 225)
Inequivalent atoms, fractional coordinates:
Mn 0.000 0.000 0.000 (multiplicity 4)
Al 0.250 0.250 0.250 (multiplicity 8)
Tc 0.000 0.000 0.500 (multiplicity 4)

Main lines, in order of rising 2θ (2θ from 10° to 90°):
| Position (°2θ) | intensity |
| --- | --- |
| 25.4 | 12 |
| 29.4 | 32 |
| 42.1 | 100 |
| 61.0 | 16 |
| 69.2 | 10 |
| 76.9 | 31 |


[5]
For ThMn3Al2, the PBE geometry in the Materials Project gives the theoretical powder X-ray diffraction pattern in this record (Cu Ka).

Crystal structure
Cell lengths 5.460, 8.715, 4.195 Å; angles 90.00, 90.00, 90.00 degrees
Space group Cmmm (No. 65)
Inequivalent atoms, fractional coordinates:
Th 0.000 0.000 0.000 (multiplicity 2)
Mn 0.000 0.347 0.000 (multiplicity 4)
Mn 0.000 0.500 0.500 (multiplicity 2)
Al 0.250 0.250 0.500 (multiplicity 4)

Main lines, in order of rising 2θ (2θ from 10° to 90°):
| Position (°2θ) | intensity |
| --- | --- |
| 21.2 | 46 |
| 28.7 | 81 |
| 32.8 | 36 |
| 35.0 | 40 |
| 39.4 | 42 |
| 41.3 | 100 |


[6]
For TiMnAl, the PBE geometry in the Materials Project gives the theoretical powder X-ray diffraction pattern in this record (Cu Ka).

Crystal structure
Cell lengths 8.135, 4.973, 8.501 Å; angles 90.00, 90.00, 90.00 degrees
Space group Amm2 (No. 38)
Inequivalent atoms, fractional coordinates:
Ti 0.175 0.000 0.000 (multiplicity 4)
Ti 0.303 0.000 0.663 (multiplicity 4)
Mn 0.000 0.000 0.503 (multiplicity 2)
Mn 0.000 0.232 0.737 (multiplicity 4)
Mn 0.500 0.000 0.161 (multiplicity 2)
Al 0.240 0.000 0.322 (multiplicity 4)
Al 0.500 0.244 0.917 (multiplicity 4)

Main lines, in order of rising 2θ (2θ from 10° to 90°):
| Position (°2θ) | intensity |
| --- | --- |
| 10.9 | 46 |
| 39.3 | 98 |
| 42.6 | 42 |
| 42.9 | 95 |
| 43.6 | 100 |
| 44.0 | 45 |


[7]
For TmMn4Al8, the PBE geometry in the Materials Project gives the theoretical powder X-ray diffraction pattern in this record (Cu Ka).

Crystal structure
Cell lengths 8.744, 8.744, 5.144 Å; angles 90.00, 90.00, 90.00 degrees
Space group I4/mmm (No. 139)
Inequivalent atoms, fractional coordinates:
Tm 0.000 0.000 0.000 (multiplicity 2)
Mn 0.250 0.250 0.250 (multiplicity 8)
Al 0.000 0.223 0.500 (multiplicity 8)
Al 0.000 0.336 0.000 (multiplicity 8)

Main lines, in order of rising 2θ (2θ from 10° to 90°):
| Position (°2θ) | intensity |
| --- | --- |
| 14.3 | 59 |
| 20.0 | 57 |
| 28.7 | 70 |
| 40.7 | 100 |
| 41.1 | 81 |
| 41.3 | 70 |


[8]
For U2MnAl3, the PBE geometry in the Materials Project gives the theoretical powder X-ray diffraction pattern in this record (Cu Ka).

Crystal structure
Cell lengths 5.0530, 5.0530, 13.8487 Å; angles 90.00, 90.00, 120.00 degrees
Space group R-3m (No. 166, hexagonal axes)
Inequivalent atoms, fractional coordinates:
U 0.0000 0.0000 0.1426 (multiplicity 6)
Mn 0.0000 0.0000 0.5000 (multiplicity 3)
Al 0.0000 0.5000 0.0000 (multiplicity 9)

Main lines, in order of rising 2θ (2θ from 10° to 90°):
| Position (°2θ) | intensity |
| --- | --- |
| 19.2 | 65 |
| 21.3 | 41 |
| 33.0 | 53 |
| 35.5 | 70 |
| 40.7 | 100 |
| 67.3 | 23 |


[9]
For UMn4Al8, the PBE geometry in the Materials Project gives the theoretical powder X-ray diffraction pattern in this record (Cu Ka).

Crystal structure
Cell lengths 8.777, 8.777, 5.112 Å; angles 90.00, 90.00, 90.00 degrees
Space group I4/mmm (No. 139)
Inequivalent atoms, fractional coordinates:
U 0.000 0.000 0.000 (multiplicity 2)
Mn 0.250 0.250 0.250 (multiplicity 8)
Al 0.000 0.219 0.500 (multiplicity 8)
Al 0.000 0.341 0.000 (multiplicity 8)

Main lines, in order of rising 2θ (2θ from 10° to 90°):
| Position (°2θ) | intensity |
| --- | --- |
| 14.3 | 58 |
| 20.1 | 53 |
| 28.7 | 94 |
| 35.3 | 38 |
| 40.9 | 62 |
| 41.1 | 100 |


[10]
For ZrMn6Al6, the PBE geometry in the Materials Project gives the theoretical powder X-ray diffraction pattern in this record (Cu Ka).

Crystal structure
Cell lengths 5.053, 8.382, 8.545 Å; angles 90.00, 90.00, 90.00 degrees
Space group Immm (No. 71)
Inequivalent atoms, fractional coordinates:
Zr 0.000 0.000 0.000 (multiplicity 2)
Mn 0.000 0.500 0.260 (multiplicity 4)
Mn 0.250 0.250 0.250 (multiplicity 8)
Al 0.000 0.000 0.338 (multiplicity 4)
Al 0.000 0.312 0.500 (multiplicity 4)
Al 0.000 0.344 0.000 (multiplicity 4)

Main lines, in order of rising 2θ (2θ from 10° to 90°):
| Position (°2θ) | intensity |
| --- | --- |
| 29.4 | 48 |
| 41.7 | 96 |
| 42.3 | 100 |
| 42.6 | 81 |
| 43.2 | 48 |
| 47.1 | 77 |


[11]
For Al22Mo5, the PBE geometry in the Materials Project gives the theoretical powder X-ray diffraction pattern in this record (Cu Ka).

Crystal structure
Cell lengths 9.189, 73.913, 4.945 Å; angles 90.00, 90.00, 90.00 degrees
Space group Fdd2 (No. 43)
Inequivalent atoms, fractional coordinates:
Al 0.003 0.341 0.040 (multiplicity 16)
Al 0.021 0.396 0.478 (multiplicity 16)
Al 0.022 0.259 0.714 (multiplicity 16)
Al 0.025 0.084 0.450 (multiplicity 16)
Al 0.040 0.481 0.794 (multiplicity 16)
Al 0.043 0.378 0.000 (multiplicity 16)
Al 0.067 0.176 0.049 (multiplicity 16)
Al 0.074 0.278 0.196 (multiplicity 16)
Al 0.082 0.064 0.965 (multiplicity 16)
Al 0.105 0.463 0.291 (multiplicity 16)
Al 0.123 0.297 0.714 (multiplicity 16)
Mo 0.000 0.000 0.792 (multiplicity 8)
Mo 0.037 0.359 0.528 (multiplicity 16)
Mo 0.106 0.195 0.541 (multiplicity 16)

Main lines, in order of rising 2θ (2θ from 10° to 90°):
| Position (°2θ) | intensity |
| --- | --- |
| 22.1 | 37 |
| 36.7 | 39 |
| 41.0 | 47 |
| 41.8 | 100 |
| 42.1 | 37 |
| 43.2 | 51 |


[12]
For Al12Mo, the PBE geometry in the Materials Project gives the theoretical powder X-ray diffraction pattern in this record (Cu Ka).

Crystal structure
Cell lengths 7.584, 7.584, 7.584 Å; angles 90.00, 90.00, 90.00 degrees
Space group Im-3 (No. 204)
Inequivalent atoms, fractional coordinates:
Al 0.000 0.186 0.308 (multiplicity 24)
Mo 0.000 0.000 0.000 (multiplicity 2)

Main lines, in order of rising 2θ (2θ from 10° to 90°):
| Position (°2θ) | intensity |
| --- | --- |
| 16.5 | 79 |
| 28.8 | 34 |
| 37.5 | 100 |
| 41.2 | 48 |
| 44.7 | 93 |
| 77.6 | 37 |


[13]
For Al3Mo, the PBE geometry in the Materials Project gives the theoretical powder X-ray diffraction pattern in this record (Cu Ka).

Crystal structure
Cell lengths 16.448, 3.605, 8.397 Å; angles 90.00, 101.87, 90.00 degrees
Space group C2/m (No. 12)
Inequivalent atoms, fractional coordinates:
Al 0.060 0.000 0.416 (multiplicity 4)
Al 0.065 0.000 0.921 (multiplicity 4)
Al 0.065 0.500 0.179 (multiplicity 4)
Al 0.188 0.000 0.723 (multiplicity 4)
Al 0.188 0.500 0.471 (multiplicity 4)
Al 0.189 0.500 0.981 (multiplicity 4)
Mo 0.073 0.500 0.679 (multiplicity 4)
Mo 0.195 0.000 0.229 (multiplicity 4)

Main lines, in order of rising 2θ (2θ from 10° to 90°):
| Position (°2θ) | intensity |
| --- | --- |
| 21.6 | 29 |
| 27.1 | 36 |
| 39.2 | 100 |
| 40.5 | 100 |
| 43.1 | 38 |
| 45.1 | 32 |